(1)
Calculated powder diffractogram of Mn5Nb7N2 for Cu Kα (λ = 1.5418 Å), from DFT lattice parameters and positions (GGA-PBE).
Neutral-atom scattering factors, no anomalous dispersion.

Structure:
```
data_Mn5Nb7N2
_cell_length_a 8.1472
_cell_length_b 8.2028
_cell_length_c 11.5843
_cell_angle_alpha 90.00
_cell_angle_beta 90.00
_cell_angle_gamma 90.00
_space_group_name_H-M_alt 'I m m a'
_space_group_IT_number 74
_space_group_name_Hall '-I 2b 2'
loop_
_atom_site_label
_atom_site_type_symbol
_atom_site_fract_x
_atom_site_fract_y
_atom_site_fract_z
Mn1 Mn 0.0000 0.0000 0.0000
Mn2 Mn 0.0000 0.0832 0.1986
Mn3 Mn 0.1497 0.2500 0.0419
Nb1 Nb 0.0000 0.2500 0.4382
Nb2 Nb 0.0000 0.2500 0.8219
Nb3 Nb 0.1942 0.0599 0.6231
Nb4 Nb 0.2500 0.2500 0.2500
N1 N 0.0000 0.0000 0.5000
N2 N 0.2500 0.2500 0.7500
```

The 8 most intense peaks (10 to 90 degrees two-theta), in order of rising 2θ:
2θ (°)  d_spacing  Rel. int.  hkl
33.70  2.659  15  0 3 1
33.80  2.652  17  2 1 3
38.05  2.365  47  0 2 4
38.21  2.355  22  3 1 2
40.47  2.229  100  2 3 1
40.60  2.222  59  3 0 3
44.28  2.046  34  2 2 4
68.82  1.364  35  3 3 6

(2)
Calculated powder diffractogram of Mn5NiN4 for Cu Kα (λ = 1.5418 Å), from DFT lattice parameters and positions (GGA-PBE).
Neutral-atom scattering factors, no anomalous dispersion.

Structure:
```
data_Mn5NiN4
_cell_length_a 5.5130
_cell_length_b 7.7895
_cell_length_c 4.9003
_cell_angle_alpha 90.00
_cell_angle_beta 90.00
_cell_angle_gamma 90.00
_space_group_name_H-M_alt 'P m m n'
_space_group_IT_number 59
loop_
_space_group_symop_operation_xyz
'x,y,z'
'-x,-y,-z'
'-x+1/2,-y+1/2,z'
'x+1/2,y+1/2,-z'
'x+1/2,-y,-z'
'-x+1/2,y,z'
'-x,y+1/2,-z'
'x,-y+1/2,z'
loop_
_atom_site_label
_atom_site_type_symbol
_atom_site_fract_x
_atom_site_fract_y
_atom_site_fract_z
Mn1 Mn 0.0110 0.0353 0.2461
Mn2 Mn 0.2500 0.2500 0.6701
Ni1 Ni 0.2500 0.7500 0.4051
N1 N 0.0237 0.2500 0.3916
N2 N 0.2500 0.0673 0.9444
```

The 8 most intense peaks (10 to 90 degrees two-theta), in order of rising 2θ:
2θ (°)  d_spacing  Rel. int.  hkl
29.29  3.049  41  0 2 1
36.68  2.450  29  0 0 2
39.25  2.295  100  0 3 1
40.07  2.250  85  2 2 0
43.64  2.074  30  0 2 2
49.79  1.831  29  2 0 2
55.44  1.657  38  2 2 2
72.28  1.307  30  2 5 1

(3)
Calculated powder diffractogram of Mn10NiN8 for Cu Kα (λ = 1.5418 Å), from DFT lattice parameters and positions (GGA-PBE).
Neutral-atom scattering factors, no anomalous dispersion.

Structure:
```
data_Mn10NiN8
_cell_length_a 14.6099
_cell_length_b 4.0476
_cell_length_c 6.5151
_cell_angle_alpha 90.00
_cell_angle_beta 106.54
_cell_angle_gamma 90.00
_space_group_name_H-M_alt 'C 1 2/m 1'
_space_group_IT_number 12
_space_group_name_Hall '-C 2y'
loop_
_atom_site_label
_atom_site_type_symbol
_atom_site_fract_x
_atom_site_fract_y
_atom_site_fract_z
Mn1 Mn 0.0418 0.0000 0.2282
Mn2 Mn 0.0946 0.5000 0.9576
Mn3 Mn 0.1478 0.0000 0.7080
Mn4 Mn 0.1751 0.5000 0.4297
Mn5 Mn 0.2151 0.0000 0.1695
Ni1 Ni 0.0000 0.5000 0.5000
N1 N 0.0450 0.5000 0.2382
N2 N 0.0958 0.0000 0.9540
N3 N 0.1495 0.5000 0.7168
N4 N 0.1777 0.0000 0.4268
```

The 8 most intense peaks (10 to 90 degrees two-theta), in order of rising 2θ:
2θ (°)  d_spacing  Rel. int.  hkl
38.36  2.346  100  1 1 2
43.81  2.066  29  4 0 -3
44.78  2.024  33  0 2 0
45.18  2.007  29  6 0 1
64.44  1.446  16  4 2 -3
64.75  1.440  14  2 0 4
65.50  1.425  17  6 2 1
82.16  1.173  13  2 2 4